Entry 1:
The following is a simulated X-ray diffraction stick pattern of Al5Fe3O12. It was derived from a GGA+U-relaxed structure, using Cu Kα (λ = 1.5418 Å).
Intensities are scaled so that the largest is 100.

Top 8 peaks for 10° ≤ 2θ ≤ 90°, in order of rising 2θ:
| two_theta | I/Imax |
| --- | --- |
| 18.89 | 52 |
| 19.18 | 49 |
| 31.37 | 46 |
| 36.50 | 59 |
| 36.66 | 100 |
| 44.63 | 66 |
| 64.70 | 39 |
| 65.53 | 37 |

Crystal structure
```
Al5Fe3O12
1.0
4.9860 -2.8903 0.0000
4.9860 2.8903 0.0000
-0.0425 0.0000 13.8801
Al Fe O
10 6 24
Cartesian
0.0258 0.0000 5.2683
1.6387 0.0000 11.6019
3.2509 0.0000 4.0942
3.2856 0.0000 0.6518
3.3759 0.0000 9.1244
6.5537 0.0000 4.7558
6.6439 0.0000 13.2283
6.6787 0.0000 9.7859
8.2909 0.0000 2.2782
9.9037 0.0000 8.6118
2.4718 1.4452 6.9401
4.1771 1.4683 11.6425
5.7524 1.4683 2.2377
2.4718 -1.4452 6.9401
4.1771 -1.4683 11.6425
5.7524 -1.4683 2.2377
0.0662 0.0000 10.4629
2.4967 1.3157 10.4149
3.9914 1.4421 8.1684
4.0493 1.4581 1.3056
1.6353 0.0000 1.2508
1.6996 0.0000 8.1070
3.1940 0.0000 5.8573
3.2484 0.0000 12.7077
5.8802 1.4581 12.5745
5.9382 1.4421 5.7117
2.4967 -1.3157 10.4149
4.9026 0.0000 10.3338
5.0269 0.0000 3.5463
7.4329 1.3157 3.4652
3.9914 -1.4421 8.1684
4.0493 -1.4581 1.3056
6.6811 0.0000 1.1724
6.7355 0.0000 8.0228
8.2299 0.0000 5.7732
8.2942 0.0000 12.6293
5.8802 -1.4581 12.5745
5.9382 -1.4421 5.7117
7.4329 -1.3157 3.4652
9.8633 0.0000 3.4172
```



Entry 2:
The following is a simulated X-ray diffraction stick pattern of Co3O2F4. It was derived from a GGA+U-relaxed structure, using Cu Kα (λ = 1.5418 Å).
Intensities are scaled so that the largest is 100.

Top 8 peaks for 10° ≤ 2θ ≤ 90°, in order of rising 2θ:
| two_theta | I/Imax |
| --- | --- |
| 25.63 | 100 |
| 27.76 | 83 |
| 34.56 | 54 |
| 35.06 | 46 |
| 51.19 | 35 |
| 51.56 | 32 |
| 53.25 | 23 |
| 54.32 | 21 |

Crystal structure
```
Co3O2F4
1.0
3.2143 -3.4754 0.0000
3.2143 3.4754 0.0000
-0.1933 0.0000 9.2292
Co O F
6 4 8
Cartesian
0.0000 0.0000 0.0000
-0.0563 0.0000 3.1778
2.8326 0.0000 7.6698
3.1176 0.0000 4.6146
3.4026 0.0000 1.5594
6.2915 0.0000 6.0515
1.0174 0.0000 7.6113
1.1761 0.0000 4.5524
5.0591 0.0000 4.6768
5.2179 0.0000 1.6179
1.3768 0.0000 1.5679
3.0529 1.3445 6.1634
3.2143 1.3433 0.0000
3.1823 1.3445 3.0658
3.0529 -1.3445 6.1634
3.2143 -1.3433 0.0000
3.1823 -1.3445 3.0658
4.8584 0.0000 7.6613
```